This entry pairs a crystal structure of NaPaMo2O8 with its computed powder X-ray diffraction pattern. Radiation: CuKα. Structure: DFT lattice parameters and positions (PBE+U).
Neutral-atom scattering factors, no anomalous dispersion.

Atomic structure:
a = 6.801 Å, b = 6.801 Å, c = 6.801 Å
α = 134.66°, β = 134.66°, γ = 66.06°
Sites, in units of the cell vectors:
Na (0.000, 0.000, 0.000)
Pa (0.250, 0.750, 0.500)
Mo (0.500, 0.500, 0.000)
Mo (0.750, 0.250, 0.500)
O (0.030, 0.057, 0.433)
O (0.228, 0.634, 0.039)
O (0.366, 0.405, 0.594)
O (0.402, 0.970, 0.027)
O (0.595, 0.190, 0.961)
O (0.625, 0.598, 0.567)
O (0.810, 0.772, 0.406)
O (0.943, 0.375, 0.973)

The 8 most intense peaks (10° ≤ 2θ ≤ 80°), sorted by position:
2θ = 15.54°, intensity 22.7; 2θ = 18.63°, intensity 31.6; 2θ = 28.73°, intensity 100.0; 2θ = 34.21°, intensity 17.4; 2θ = 47.10°, intensity 31.4; 2θ = 49.16°, intensity 15.9; 2θ = 54.24°, intensity 16.6; 2θ = 57.93°, intensity 27.2